[1]
Structure and simulated X-ray diffraction stick pattern of PmNbSe (a cell relaxed with PBE; copper Kα).
Kinematic intensities with the Lorentz-polarization factor, no thermal factor.

Cell and atoms:
```
data_PmNbSe
_cell_length_a 7.0475
_cell_length_b 7.0475
_cell_length_c 15.8976
_cell_angle_alpha 90.00
_cell_angle_beta 90.00
_cell_angle_gamma 120.00
_space_group_name_H-M_alt 'R 3'
_space_group_IT_number 146
_space_group_name_Hall 'R 3'
loop_
_atom_site_label
_atom_site_type_symbol
_atom_site_fract_x
_atom_site_fract_y
_atom_site_fract_z
Pm1 Pm 0.0004 0.4750 0.0000
Nb1 Nb 0.0000 0.0000 0.1524
Nb2 Nb 0.0000 0.0000 0.8453
Nb3 Nb 0.0000 0.0000 0.9987
Se1 Se 0.0634 0.6672 0.1666
```

The 10 most intense peaks (2θ from 5° to 70°), most intense first:
hkl  2θ/deg  d_spacing  I (rel.)
0 2 1  29.81  2.997  100
0 0 6  33.83  2.650  43
1 1 3  30.46  2.934  36
2 0 5  40.99  2.202  32
0 2 7  50.07  1.822  28
2 0 2  31.40  2.849  25
4 -2 6  63.40  1.467  16
2 2 0  51.90  1.762  15
2 1 4  45.46  1.995  13
3 -2 2  40.73  2.215  13

***

[2]
Structure and simulated X-ray diffraction stick pattern of PmNbTl (a cell relaxed with PBE; copper Kα).
Kinematic intensities with the Lorentz-polarization factor, no thermal factor.

Cell and atoms:
```
data_PmNbTl
_cell_length_a 3.535
_cell_length_b 24.809
_cell_length_c 3.548
_cell_angle_alpha 90.00
_cell_angle_beta 90.00
_cell_angle_gamma 90.00
_space_group_name_H-M_alt 'C m c m'
_space_group_IT_number 63
_space_group_name_Hall '-C 2c 2'
loop_
_atom_site_label
_atom_site_type_symbol
_atom_site_fract_x
_atom_site_fract_y
_atom_site_fract_z
Pm1 Pm 0.000 0.065 0.250
Nb1 Nb 0.000 0.225 0.250
Tl1 Tl 0.000 0.349 0.250
```

The 10 most intense peaks (2θ from 5° to 70°), most intense first:
hkl  2θ/deg  d_spacing  I (rel.)
1 1 1  36.05  2.491  100
1 7 0  35.88  2.503  87
0 6 1  33.28  2.692  50
0 4 1  28.99  3.080  40
1 3 0  27.44  3.250  40
0 8 1  38.56  2.335  38
0 2 0  7.13  12.404  32
1 7 2  64.37  1.447  32
0 0 2  51.54  1.773  28
1 11 1  54.78  1.676  27

***

[3]
Structure and simulated X-ray diffraction stick pattern of PrSm2Nb (a cell relaxed with PBE; copper Kα).
Kinematic intensities with the Lorentz-polarization factor, no thermal factor.

Cell and atoms:
```
data_PrSm2Nb
_cell_length_a 3.3585
_cell_length_b 3.3585
_cell_length_c 35.9614
_cell_angle_alpha 90.00
_cell_angle_beta 90.00
_cell_angle_gamma 120.00
_space_group_name_H-M_alt 'R -3 m'
_space_group_IT_number 166
_space_group_name_Hall '-R 3 2"'
loop_
_atom_site_label
_atom_site_type_symbol
_atom_site_fract_x
_atom_site_fract_y
_atom_site_fract_z
Pr1 Pr 0.0000 0.0000 0.0000
Sm1 Sm 0.0000 0.0000 0.4194
Nb1 Nb 0.0000 0.0000 0.5000
```

The 10 most intense peaks (2θ from 5° to 70°), most intense first:
hkl  2θ/deg  d_spacing  I (rel.)
0 1 2  31.15  2.871  100
0 0 12  29.81  2.997  67
1 0 7  35.47  2.531  46
1 1 12  63.51  1.465  46
0 1 5  33.23  2.696  45
0 1 14  47.21  1.925  40
1 0 10  39.86  2.261  38
1 1 0  54.66  1.679  37
1 0 1  30.84  2.899  30
1 0 13  45.24  2.004  13

***

[4]
Structure and simulated X-ray diffraction stick pattern of PrTi2Nb (a cell relaxed with PBE; copper Kα).
Kinematic intensities with the Lorentz-polarization factor, no thermal factor.

Cell and atoms:
```
data_PrTi2Nb
_cell_length_a 3.470
_cell_length_b 3.470
_cell_length_c 7.149
_cell_angle_alpha 90.00
_cell_angle_beta 90.00
_cell_angle_gamma 90.00
_space_group_name_H-M_alt 'P 4/m m m'
_space_group_IT_number 123
_space_group_name_Hall '-P 4 2'
loop_
_atom_site_label
_atom_site_type_symbol
_atom_site_fract_x
_atom_site_fract_y
_atom_site_fract_z
Pr1 Pr 0.000 0.000 0.000
Ti1 Ti 0.500 0.500 0.307
Nb1 Nb 0.000 0.000 0.500
```

The 10 most intense peaks (2θ from 5° to 70°), most intense first:
hkl  2θ/deg  d_spacing  I (rel.)
1 0 2  36.08  2.490  100
1 1 0  36.63  2.453  55
2 1 2  65.59  1.423  33
1 0 0  25.68  3.470  25
2 0 0  52.77  1.735  19
0 0 2  24.91  3.574  19
1 1 2  44.81  2.023  16
1 0 4  58.05  1.589  13
1 0 1  28.60  3.121  12
1 1 4  64.51  1.445  12